Entry 1:
Diffraction record for EuFe4P12. The powder X-ray diffraction pattern is theoretical, not measured: it uses a crystal structure in Alexandria, relaxed with GGA-PBE and Cu Kα X-rays.

Structural model:
```
EuFe4P12
1.0
-3.9028 3.9028 3.9028
3.9028 -3.9028 3.9028
3.9028 3.9028 -3.9028
Eu Fe P
1 4 12
Direct
0.0000 0.0000 0.0000 Eu
0.0000 0.0000 0.5000 Fe
0.0000 0.5000 0.0000 Fe
0.5000 0.0000 0.0000 Fe
0.5000 0.5000 0.5000 Fe
0.1508 0.5040 0.3532 P
0.1508 0.7977 0.6468 P
0.2023 0.3532 0.8492 P
0.3532 0.1508 0.5040 P
0.3532 0.8492 0.2023 P
0.4960 0.6468 0.8492 P
0.5040 0.3532 0.1508 P
0.6468 0.1508 0.7977 P
0.6468 0.8492 0.4960 P
0.7977 0.6468 0.1508 P
0.8492 0.2023 0.3532 P
0.8492 0.4960 0.6468 P
```

Principal peaks in the range 5° ≤ 2θ ≤ 70°, low angle first:
two_theta  d [Å]  I (rel.)
16.06  5.519  45
28.00  3.187  30
32.44  2.760  88
36.40  2.468  100
43.38  2.086  74
46.54  1.951  14
52.42  1.745  13
57.87  1.593  61
60.48  1.531  46
65.50  1.425  11



Entry 2:
Diffraction record for Eu2FeP3Pt7. The powder X-ray diffraction pattern is theoretical, not measured: it uses a crystal structure in Alexandria, relaxed with GGA-PBE and Cu Kα X-rays.

Structural model:
```
Eu2FeP3Pt7
1.0
-2.0428 2.0428 13.5407
2.0428 -2.0428 13.5407
2.0428 2.0428 -13.5407
Eu Fe P Pt
2 1 3 7
Direct
0.1650 0.1650 0.0000 Eu
0.8350 0.8350 0.0000 Eu
0.0000 0.0000 0.0000 Fe
0.2500 0.7500 0.5000 P
0.3798 0.3798 0.0000 P
0.6202 0.6202 0.0000 P
0.0706 0.5706 0.5000 Pt
0.2927 0.2927 0.0000 Pt
0.4294 0.9294 0.5000 Pt
0.5000 0.5000 0.0000 Pt
0.5715 0.0715 0.5000 Pt
0.7073 0.7073 0.0000 Pt
0.9285 0.4285 0.5000 Pt
```

Principal peaks in the range 5° ≤ 2θ ≤ 70°, low angle first:
two_theta  d [Å]  I (rel.)
6.53  13.541  40
26.33  3.385  17
31.67  2.825  42
36.94  2.433  100
37.11  2.423  34
41.08  2.197  19
44.34  2.043  60
55.65  1.652  16
59.16  1.562  18
64.51  1.444  20



Entry 3:
Diffraction record for EuGa3. The powder X-ray diffraction pattern is theoretical, not measured: it uses a crystal structure in Alexandria, relaxed with GGA-PBE and Cu Kα X-rays.

Structural model:
```
EuGa3
1.0
4.4863 0.0000 0.0000
0.0000 4.4863 0.0000
0.0000 0.0000 8.6368
Eu Ga
2 6
Direct
0.0000 0.0000 0.0000 Eu
0.5000 0.5000 0.5000 Eu
0.0000 0.0000 0.5000 Ga
0.0000 0.5000 0.2500 Ga
0.0000 0.5000 0.7500 Ga
0.5000 0.0000 0.2500 Ga
0.5000 0.0000 0.7500 Ga
0.5000 0.5000 0.0000 Ga
```

Principal peaks in the range 5° ≤ 2θ ≤ 70°, low angle first:
two_theta  d [Å]  I (rel.)
20.57  4.318  4
22.33  3.981  14
28.13  3.172  4
35.10  2.557  100
40.20  2.243  34
41.84  2.159  15
46.47  1.954  4
58.16  1.586  11
59.42  1.556  21
69.78  1.348  26



Entry 4:
Diffraction record for Eu3Ga8. The powder X-ray diffraction pattern is theoretical, not measured: it uses a crystal structure in Alexandria, relaxed with GGA-PBE and Cu Kα X-rays.

Structural model:
```
Eu3Ga8
1.0
-2.1794 2.1874 12.9185
2.1794 -2.1874 12.9185
2.1794 2.1874 -12.9185
Eu Ga
3 8
Direct
0.0000 0.0000 0.0000 Eu
0.3519 0.8519 0.5000 Eu
0.6481 0.1481 0.5000 Eu
0.0950 0.5950 0.5000 Ga
0.1921 0.6921 0.5000 Ga
0.2502 0.2502 0.0000 Ga
0.4514 0.4514 0.0000 Ga
0.5486 0.5486 0.0000 Ga
0.7498 0.7498 0.0000 Ga
0.8079 0.3079 0.5000 Ga
0.9050 0.4050 0.5000 Ga
```

Principal peaks in the range 5° ≤ 2θ ≤ 70°, low angle first:
two_theta  d [Å]  I (rel.)
29.75  3.003  18
31.76  2.817  55
32.13  2.786  100
37.47  2.400  18
41.27  2.187  28
41.43  2.179  28
43.75  2.069  27
53.01  1.727  26
59.91  1.544  19
61.82  1.501  19